Entry 1:
Diffraction record for Sc11Ir4. The powder diffractogram is calculated, not measured: it uses the PBE geometry in Alexandria and Cu Kα (weighted mean of Kα1 and Kα2).
Peak positions follow from Bragg's law for the DFT cell and can differ from measured ones.

Structure:
```
Sc11Ir4
1.0
0.000 6.691 6.691
6.691 0.000 6.691
6.691 6.691 0.000
Sc Ir
22 8
direct
0.148 0.617 0.617 Sc
0.157 0.157 0.157 Sc
0.157 0.157 0.529 Sc
0.157 0.529 0.157 Sc
0.198 0.198 0.802 Sc
0.198 0.802 0.198 Sc
0.198 0.802 0.802 Sc
0.383 0.383 0.383 Sc
0.383 0.383 0.852 Sc
0.383 0.852 0.383 Sc
0.471 0.843 0.843 Sc
0.529 0.157 0.157 Sc
0.617 0.148 0.617 Sc
0.617 0.617 0.148 Sc
0.617 0.617 0.617 Sc
0.802 0.198 0.198 Sc
0.802 0.198 0.802 Sc
0.802 0.802 0.198 Sc
0.843 0.471 0.843 Sc
0.843 0.843 0.471 Sc
0.843 0.843 0.843 Sc
0.852 0.383 0.383 Sc
0.000 0.000 0.000 Ir
0.000 0.000 0.500 Ir
0.000 0.500 0.000 Ir
0.000 0.500 0.500 Ir
0.500 0.000 0.000 Ir
0.500 0.000 0.500 Ir
0.500 0.500 0.000 Ir
0.500 0.500 0.500 Ir
```

Main lines, in order of falling intensity (2θ from 10° to 80°):
- 38.0°, intensity 100
- 23.0°, intensity 83
- 44.9°, intensity 57
- 26.6°, intensity 33
- 68.7°, intensity 24
- 60.3°, intensity 22
- 73.5°, intensity 20
- 62.0°, intensity 16
- 54.9°, intensity 14
- 34.8°, intensity 10

=====

Entry 2:
Diffraction record for K2ZnGa7. The powder diffractogram is calculated, not measured: it uses the PBE geometry in Alexandria and Cu Kα (weighted mean of Kα1 and Kα2).
Peak positions follow from Bragg's law for the DFT cell and can differ from measured ones.

Structure:
```
K2ZnGa7
1.0
4.453 0.000 0.000
0.000 4.453 0.000
0.000 0.000 11.188
K Zn Ga
2 1 7
direct
0.000 0.500 0.250 K
0.500 0.000 0.750 K
0.000 0.000 0.500 Zn
0.000 0.000 0.000 Ga
0.000 0.500 0.633 Ga
0.000 0.500 0.866 Ga
0.500 0.000 0.134 Ga
0.500 0.000 0.367 Ga
0.500 0.500 0.000 Ga
0.500 0.500 0.500 Ga
```

Main lines, in order of falling intensity (2θ from 10° to 80°):
- 32.6°, intensity 100
- 40.5°, intensity 74
- 43.3°, intensity 70
- 31.3°, intensity 45
- 21.5°, intensity 31
- 15.8°, intensity 28
- 45.4°, intensity 27
- 75.6°, intensity 26
- 58.6°, intensity 24
- 68.7°, intensity 21